# 1
For CeSiNO2, a GGA-PBE-relaxed structure gives the computed powder diffraction line list in this record (Cu Kα X-rays).

Structure:
```
data_CeSiNO2
_chemical_formula_sum 'Ce6 Si6 N6 O12'
_cell_length_a 7.0773
_cell_length_b 7.0773
_cell_length_c 9.7317
_cell_angle_alpha 90.00
_cell_angle_beta 90.00
_cell_angle_gamma 120.00
_space_group_name_H-M_alt 'P 63/m c m'
_space_group_IT_number 193
_space_group_name_Hall '-P 6c 2'
loop_
_atom_site_label
_atom_site_type_symbol
_atom_site_fract_x
_atom_site_fract_y
_atom_site_fract_z
_atom_site_occupancy
Ce1 Ce 0.0000 0.0000 0.0000 1
Ce2 Ce 0.3333 0.6667 0.0000 1
Si1 Si 0.0000 0.2493 0.2500 1
N1 N 0.0000 0.2288 0.7500 1
O1 O 0.0000 0.3689 0.1023 1
```

Peak list (10 most intense, 10 to 80 degrees two-theta, by angle)
| hkl | d (Å) | Position (°2θ) | I/Imax |
| --- | --- | --- | --- |
| 0 0 2 | 4.866 | 18.23 | 31 |
| 1 1 0 | 3.539 | 25.17 | 47 |
| 1 1 2 | 2.862 | 31.25 | 100 |
| 3 0 0 | 2.043 | 44.34 | 27 |
| 1 1 4 | 2.005 | 45.23 | 32 |
| 3 0 2 | 1.884 | 48.31 | 26 |
| 2 2 2 | 1.663 | 55.24 | 20 |
| 3 0 4 | 1.565 | 59.04 | 13 |
| 1 1 6 | 1.474 | 63.05 | 16 |
| 4 1 2 | 1.290 | 73.42 | 12 |

---

# 2
For Cu4BrCl3, a GGA-PBE-relaxed structure gives the computed powder diffraction line list in this record (Cu Kα X-rays).

Structure:
```
data_Cu4BrCl3
_chemical_formula_sum 'Cu4 Br1 Cl3'
_cell_length_a 3.6785
_cell_length_b 3.6785
_cell_length_c 10.3273
_cell_angle_alpha 90.00
_cell_angle_beta 90.00
_cell_angle_gamma 90.00
_space_group_name_H-M_alt 'P 4/m m m'
_space_group_IT_number 123
_space_group_name_Hall '-P 4 2'
loop_
_atom_site_label
_atom_site_type_symbol
_atom_site_fract_x
_atom_site_fract_y
_atom_site_fract_z
_atom_site_occupancy
Cu1 Cu 0.0000 0.0000 0.0000 1
Cu2 Cu 0.0000 0.0000 0.5000 1
Cu3 Cu 0.5000 0.5000 0.2473 1
Br1 Br 0.5000 0.5000 0.5000 1
Cl1 Cl 0.0000 0.0000 0.2464 1
Cl2 Cl 0.5000 0.5000 0.0000 1
```

Peak list (10 most intense, 10 to 80 degrees two-theta, by angle)
| hkl | d (Å) | Position (°2θ) | I/Imax |
| --- | --- | --- | --- |
| 1 0 1 | 3.465 | 25.71 | 4 |
| 1 0 2 | 2.996 | 29.82 | 10 |
| 1 1 0 | 2.601 | 34.48 | 100 |
| 0 0 4 | 2.582 | 34.75 | 49 |
| 2 0 0 | 1.839 | 49.56 | 33 |
| 1 1 4 | 1.832 | 49.76 | 66 |
| 2 1 2 | 1.567 | 58.92 | 3 |
| 2 0 4 | 1.498 | 61.95 | 32 |
| 2 2 0 | 1.301 | 72.71 | 10 |
| 0 0 8 | 1.291 | 73.34 | 5 |

---

# 3
For Cs2Zn3S4, a GGA-PBE-relaxed structure gives the computed powder diffraction line list in this record (Cu Kα X-rays).

Structure:
```
data_Cs2Zn3S4
_chemical_formula_sum 'Cs8 Zn12 S16'
_cell_length_a 5.9212
_cell_length_b 11.5149
_cell_length_c 14.1250
_cell_angle_alpha 90.00
_cell_angle_beta 90.00
_cell_angle_gamma 90.00
_space_group_name_H-M_alt 'I b a m'
_space_group_IT_number 72
_space_group_name_Hall '-I 2 2c'
loop_
_atom_site_label
_atom_site_type_symbol
_atom_site_fract_x
_atom_site_fract_y
_atom_site_fract_z
_atom_site_occupancy
Cs1 Cs 0.2343 0.1209 0.0000 1
Zn1 Zn 0.0000 0.2255 0.2500 1
Zn2 Zn 0.0000 0.5000 0.2500 1
S1 S 0.2185 0.3657 0.1580 1
```

Peak list (10 most intense, 10 to 80 degrees two-theta, by angle)
| hkl | d (Å) | Position (°2θ) | I/Imax |
| --- | --- | --- | --- |
| 1 2 1 | 3.962 | 22.44 | 41 |
| 0 0 4 | 3.531 | 25.22 | 33 |
| 1 2 3 | 3.104 | 28.76 | 100 |
| 2 0 2 | 2.730 | 32.80 | 41 |
| 0 4 2 | 2.666 | 33.62 | 34 |
| 2 4 0 | 2.064 | 43.87 | 32 |
| 2 0 6 | 1.843 | 49.46 | 24 |
| 0 4 6 | 1.822 | 50.05 | 22 |
| 2 4 4 | 1.782 | 51.27 | 17 |
| 1 6 3 | 1.703 | 53.85 | 22 |

---

# 4
For Li31Zr2Sb13, a GGA-PBE-relaxed structure gives the computed powder diffraction line list in this record (Cu Kα X-rays).

Structure:
```
data_Li31Zr2Sb13
_chemical_formula_sum 'Li62 Zr4 Sb26'
_cell_length_a 8.0071
_cell_length_b 4.6316
_cell_length_c 49.8121
_cell_angle_alpha 90.00
_cell_angle_beta 93.18
_cell_angle_gamma 90.00
_space_group_name_H-M_alt 'C 1 m 1'
_space_group_IT_number 8
_space_group_name_Hall 'C -2y'
loop_
_atom_site_label
_atom_site_type_symbol
_atom_site_fract_x
_atom_site_fract_y
_atom_site_fract_z
_atom_site_occupancy
Li1 Li 0.0000 0.0000 0.0000 1
Li2 Li 0.0001 0.5000 0.5002 1
Li3 Li 0.0190 0.5000 0.5568 1
Li4 Li 0.0391 0.0000 0.1173 1
Li5 Li 0.0391 0.5000 0.6175 1
Li6 Li 0.0592 0.0000 0.1780 1
Li7 Li 0.0772 0.5000 0.7321 1
Li8 Li 0.0781 0.0000 0.2347 1
Li9 Li 0.0954 0.5000 0.7866 1
Li10 Li 0.1158 0.0000 0.3478 1
Li11 Li 0.1553 0.0000 0.4655 1
Li12 Li 0.1552 0.5000 0.9650 1
Li13 Li 0.1745 0.5000 0.0235 1
Li14 Li 0.1931 0.0000 0.5797 1
Li15 Li 0.1930 0.5000 0.0788 1
Li16 Li 0.2118 0.0000 0.6350 1
Li17 Li 0.2313 0.0000 0.6942 1
Li18 Li 0.2326 0.5000 0.1960 1
Li19 Li 0.2700 0.0000 0.8106 1
Li20 Li 0.2699 0.5000 0.3103 1
Li21 Li 0.3084 0.5000 0.4249 1
Li22 Li 0.3457 0.5000 0.5389 1
Li23 Li 0.3472 0.0000 0.0413 1
Li24 Li 0.3664 0.0000 0.0999 1
Li25 Li 0.3851 0.0000 0.1552 1
Li26 Li 0.3852 0.5000 0.6560 1
Li27 Li 0.4036 0.5000 0.7110 1
Li28 Li 0.4229 0.0000 0.2693 1
Li29 Li 0.4228 0.5000 0.7688 1
Li30 Li 0.4624 0.5000 0.8874 1
Li31 Li 0.4626 0.0000 0.3872 1
Zr1 Zr 0.1165 0.5000 0.8503 1
Zr2 Zr 0.3088 0.0000 0.9274 1
Sb1 Sb 0.0195 0.0000 0.0582 1
Sb2 Sb 0.0585 0.5000 0.6763 1
Sb3 Sb 0.0973 0.0000 0.2914 1
Sb4 Sb 0.1358 0.5000 0.9076 1
Sb5 Sb 0.1743 0.0000 0.5239 1
Sb6 Sb 0.2118 0.5000 0.1352 1
Sb7 Sb 0.2508 0.0000 0.7529 1
Sb8 Sb 0.2892 0.5000 0.3675 1
Sb9 Sb 0.3283 0.0000 0.9844 1
Sb10 Sb 0.3665 0.5000 0.5998 1
Sb11 Sb 0.4040 0.0000 0.2111 1
Sb12 Sb 0.4423 0.5000 0.8276 1
Sb13 Sb 0.4810 0.0000 0.4436 1
```

Peak list (10 most intense, 10 to 80 degrees two-theta, by angle)
| hkl | d (Å) | Position (°2θ) | I/Imax |
| --- | --- | --- | --- |
| 0 0 13 | 3.826 | 23.25 | 32 |
| 1 1 4 | 3.783 | 23.51 | 100 |
| 2 0 8 | 3.286 | 27.14 | 48 |
| 1 1 17 | 2.333 | 38.59 | 40 |
| 0 2 0 | 2.314 | 38.93 | 41 |
| 2 0 21 | 1.992 | 45.54 | 17 |
| 0 2 13 | 1.981 | 45.81 | 21 |
| 2 2 -5 | 1.976 | 45.92 | 21 |
| 5 1 -6 | 1.502 | 61.78 | 13 |
| 4 2 16 | 1.339 | 70.28 | 13 |

---

# 5
For Na3AlAs2, a GGA-PBE-relaxed structure gives the computed powder diffraction line list in this record (Cu Kα X-rays).

Structure:
```
data_Na3AlAs2
_chemical_formula_sum 'Na12 Al4 As8'
_cell_length_a 7.0058
_cell_length_b 13.6924
_cell_length_c 6.2365
_cell_angle_alpha 90.00
_cell_angle_beta 90.00
_cell_angle_gamma 90.00
_space_group_name_H-M_alt 'I b a m'
_space_group_IT_number 72
_space_group_name_Hall '-I 2 2c'
loop_
_atom_site_label
_atom_site_type_symbol
_atom_site_fract_x
_atom_site_fract_y
_atom_site_fract_z
_atom_site_occupancy
Na1 Na 0.0000 0.0000 0.2500 1
Na2 Na 0.1854 0.3105 0.0000 1
Al1 Al 0.0000 0.5000 0.2500 1
As1 As 0.2015 0.3966 0.5000 1
```

Peak list (10 most intense, 10 to 80 degrees two-theta, by angle)
| hkl | d (Å) | Position (°2θ) | I/Imax |
| --- | --- | --- | --- |
| 0 2 0 | 6.846 | 12.93 | 28 |
| 1 1 0 | 6.237 | 14.20 | 30 |
| 1 2 1 | 3.851 | 23.09 | 100 |
| 0 0 2 | 3.118 | 28.63 | 32 |
| 1 4 1 | 2.758 | 32.46 | 50 |
| 2 3 1 | 2.538 | 35.36 | 25 |
| 2 4 0 | 2.448 | 36.71 | 30 |
| 2 0 2 | 2.329 | 38.66 | 47 |
| 0 4 2 | 2.304 | 39.09 | 46 |
| 1 6 1 | 2.049 | 44.19 | 26 |

---

# 6
For TmAg, a GGA-PBE-relaxed structure gives the computed powder diffraction line list in this record (Cu Kα X-rays).

Structure:
```
data_TmAg
_chemical_formula_sum 'Tm1 Ag1'
_cell_length_a 3.5961
_cell_length_b 3.5961
_cell_length_c 3.5961
_cell_angle_alpha 90.00
_cell_angle_beta 90.00
_cell_angle_gamma 90.00
_space_group_name_H-M_alt 'P m -3 m'
_space_group_IT_number 221
_space_group_name_Hall '-P 4 2 3'
loop_
_atom_site_label
_atom_site_type_symbol
_atom_site_fract_x
_atom_site_fract_y
_atom_site_fract_z
_atom_site_occupancy
Tm1 Tm 0.0000 0.0000 0.0000 1
Ag1 Ag 0.5000 0.5000 0.5000 1
```

Peak list (7 most intense, 10 to 80 degrees two-theta, by angle)
| hkl | d (Å) | Position (°2θ) | I/Imax |
| --- | --- | --- | --- |
| 1 0 0 | 3.596 | 24.76 | 5 |
| 1 1 0 | 2.543 | 35.30 | 100 |
| 1 1 1 | 2.076 | 43.59 | 2 |
| 2 0 0 | 1.798 | 50.78 | 18 |
| 2 1 0 | 1.608 | 57.29 | 2 |
| 2 1 1 | 1.468 | 63.35 | 36 |
| 2 2 0 | 1.271 | 74.65 | 11 |

---

# 7
For ScBiO3, a GGA-PBE-relaxed structure gives the computed powder diffraction line list in this record (Cu Kα X-rays).

Structure:
```
data_ScBiO3
_chemical_formula_sum 'Sc6 Bi6 O18'
_cell_length_a 5.7056
_cell_length_b 5.7056
_cell_length_c 15.0978
_cell_angle_alpha 90.00
_cell_angle_beta 90.00
_cell_angle_gamma 120.00
_space_group_name_H-M_alt 'R -3'
_space_group_IT_number 148
_space_group_name_Hall '-R 3'
loop_
_atom_site_label
_atom_site_type_symbol
_atom_site_fract_x
_atom_site_fract_y
_atom_site_fract_z
_atom_site_occupancy
Sc1 Sc 0.0000 0.0000 0.1486 1
Bi1 Bi 0.0000 0.0000 0.3631 1
O1 O 0.0255 0.6273 0.4211 1
```

Peak list (10 most intense, 10 to 80 degrees two-theta, by angle)
| hkl | d (Å) | Position (°2θ) | I/Imax |
| --- | --- | --- | --- |
| 0 0 3 | 5.033 | 17.62 | 35 |
| 1 0 1 | 4.696 | 18.90 | 58 |
| 1 0 4 | 2.999 | 29.79 | 100 |
| 1 1 0 | 2.853 | 31.36 | 89 |
| 1 1 3 | 2.482 | 36.19 | 46 |
| 0 2 4 | 2.067 | 43.79 | 42 |
| 2 -1 6 | 1.887 | 48.22 | 21 |
| 3 -1 4 | 1.674 | 54.85 | 41 |
| 3 0 0 | 1.647 | 55.82 | 26 |
| 1 3 4 | 1.288 | 73.52 | 20 |

---

# 8
For RbInBP2HO9, a GGA-PBE-relaxed structure gives the computed powder diffraction line list in this record (Cu Kα X-rays).

Structure:
```
data_RbInBP2HO9
_chemical_formula_sum 'Rb2 In2 B2 P4 H2 O18'
_cell_length_a 5.4167
_cell_length_b 8.4536
_cell_length_c 8.6007
_cell_angle_alpha 87.39
_cell_angle_beta 80.52
_cell_angle_gamma 86.71
_space_group_name_H-M_alt 'P -1'
_space_group_IT_number 2
_space_group_name_Hall '-P 1'
loop_
_atom_site_label
_atom_site_type_symbol
_atom_site_fract_x
_atom_site_fract_y
_atom_site_fract_z
_atom_site_occupancy
Rb1 Rb 0.2218 0.3304 0.1174 1
In1 In 0.2251 0.8110 0.1999 1
B1 B 0.3911 0.7286 0.5588 1
P1 P 0.2819 0.9313 0.8079 1
P2 P 0.3072 0.4188 0.6910 1
H1 H 0.0878 0.8706 0.5168 1
O1 O 0.0297 0.9819 0.7508 1
O2 O 0.0624 0.3626 0.7868 1
O3 O 0.2254 0.8095 0.4553 1
O4 O 0.2344 0.8089 0.9486 1
O5 O 0.2510 0.5977 0.6483 1
O6 O 0.3719 0.3274 0.5339 1
O7 O 0.4218 0.0718 0.8473 1
O8 O 0.4549 0.8415 0.6697 1
O9 O 0.4740 0.5970 0.2145 1
```

Peak list (10 most intense, 10 to 80 degrees two-theta, by angle)
| hkl | d (Å) | Position (°2θ) | I/Imax |
| --- | --- | --- | --- |
| 0 0 1 | 8.476 | 10.44 | 79 |
| 0 1 1 | 6.092 | 14.54 | 52 |
| 0 0 2 | 4.239 | 20.96 | 81 |
| 0 2 0 | 4.217 | 21.07 | 78 |
| 1 0 2 | 3.618 | 24.61 | 67 |
| 1 2 0 | 3.393 | 26.27 | 87 |
| 1 2 1 | 3.305 | 26.98 | 94 |
| 1 -2 0 | 3.230 | 27.62 | 100 |
| -1 2 1 | 2.950 | 30.30 | 66 |
| 2 0 0 | 2.670 | 33.57 | 85 |

---

# 9
For BaSrTbTiO6, a GGA-PBE-relaxed structure gives the computed powder diffraction line list in this record (Cu Kα X-rays).

Structure:
```
data_BaSrTbTiO6
_chemical_formula_sum 'Ba4 Sr4 Tb4 Ti4 O24'
_cell_length_a 8.3953
_cell_length_b 8.4119
_cell_length_c 8.4218
_cell_angle_alpha 90.00
_cell_angle_beta 90.00
_cell_angle_gamma 90.00
_space_group_name_H-M_alt 'P 2 2 2'
_space_group_IT_number 16
_space_group_name_Hall 'P 2 2'
loop_
_atom_site_label
_atom_site_type_symbol
_atom_site_fract_x
_atom_site_fract_y
_atom_site_fract_z
_atom_site_occupancy
Ba1 Ba 0.0000 0.0000 0.0000 1
Ba2 Ba 0.0000 0.0000 0.5000 1
Ba3 Ba 0.0000 0.5000 0.0000 1
Ba4 Ba 0.5000 0.5000 0.5000 1
Sr1 Sr 0.0000 0.5000 0.5000 1
Sr2 Sr 0.5000 0.0000 0.0000 1
Sr3 Sr 0.5000 0.0000 0.5000 1
Sr4 Sr 0.5000 0.5000 0.0000 1
Tb1 Tb 0.2517 0.2509 0.7497 1
Ti1 Ti 0.2537 0.2525 0.2499 1
O1 O 0.0168 0.2636 0.2375 1
O2 O 0.2297 0.2775 0.4836 1
O3 O 0.2394 0.0161 0.2666 1
O4 O 0.2728 0.2308 0.0159 1
O5 O 0.2788 0.4835 0.2243 1
O6 O 0.4847 0.2227 0.2777 1
```

Peak list (10 most intense, 10 to 80 degrees two-theta, by angle)
| hkl | d (Å) | Position (°2θ) | I/Imax |
| --- | --- | --- | --- |
| 1 1 1 | 4.855 | 18.27 | 14 |
| 0 2 2 | 2.973 | 30.06 | 100 |
| 1 3 1 | 2.536 | 35.40 | 11 |
| 0 0 4 | 2.104 | 42.98 | 21 |
| 4 0 0 | 2.099 | 43.10 | 10 |
| 3 3 1 | 1.929 | 47.10 | 6 |
| 2 4 2 | 1.717 | 53.37 | 41 |
| 4 0 4 | 1.487 | 62.45 | 12 |
| 4 4 0 | 1.486 | 62.52 | 6 |
| 0 6 2 | 1.331 | 70.79 | 9 |

---

# 10
For La2MgCuO4, a GGA-PBE-relaxed structure gives the computed powder diffraction line list in this record (Cu Kα X-rays).

Structure:
```
data_La2MgCuO4
_chemical_formula_sum 'La4 Mg2 Cu2 O8'
_cell_length_a 4.0840
_cell_length_b 4.0840
_cell_length_c 17.8290
_cell_angle_alpha 90.00
_cell_angle_beta 90.00
_cell_angle_gamma 90.00
_space_group_name_H-M_alt 'I 4/m m m'
_space_group_IT_number 139
_space_group_name_Hall '-I 4 2'
loop_
_atom_site_label
_atom_site_type_symbol
_atom_site_fract_x
_atom_site_fract_y
_atom_site_fract_z
_atom_site_occupancy
La1 La 0.0000 0.0000 0.1838 1
Mg1 Mg 0.0000 0.0000 0.0000 1
Cu1 Cu 0.0000 0.0000 0.5000 1
O1 O 0.0000 0.5000 0.0000 1
O2 O 0.0000 0.5000 0.2500 1
```

Peak list (10 most intense, 10 to 80 degrees two-theta, by angle)
| hkl | d (Å) | Position (°2θ) | I/Imax |
| --- | --- | --- | --- |
| 0 0 4 | 4.457 | 19.92 | 11 |
| 1 0 3 | 3.366 | 26.48 | 100 |
| 0 0 6 | 2.971 | 30.07 | 19 |
| 1 1 0 | 2.888 | 30.97 | 33 |
| 1 0 5 | 2.686 | 33.36 | 23 |
| 1 1 6 | 2.071 | 43.71 | 28 |
| 2 0 0 | 2.042 | 44.36 | 25 |
| 2 1 3 | 1.746 | 52.41 | 30 |
| 2 0 6 | 1.683 | 54.53 | 14 |
| 2 1 5 | 1.626 | 56.62 | 10 |

---

# 11
For CeGe2Ru2, a GGA-PBE-relaxed structure gives the computed powder diffraction line list in this record (Cu Kα X-rays).

Structure:
```
data_CeGe2Ru2
_chemical_formula_sum 'Ce2 Ge4 Ru4'
_cell_length_a 4.2906
_cell_length_b 4.2906
_cell_length_c 10.0080
_cell_angle_alpha 90.00
_cell_angle_beta 90.00
_cell_angle_gamma 90.00
_space_group_name_H-M_alt 'I 4/m m m'
_space_group_IT_number 139
_space_group_name_Hall '-I 4 2'
loop_
_atom_site_label
_atom_site_type_symbol
_atom_site_fract_x
_atom_site_fract_y
_atom_site_fract_z
_atom_site_occupancy
Ce1 Ce 0.0000 0.0000 0.0000 1
Ge1 Ge 0.0000 0.0000 0.3690 1
Ru1 Ru 0.0000 0.5000 0.2500 1
```

Peak list (10 most intense, 10 to 80 degrees two-theta, by angle)
| hkl | d (Å) | Position (°2θ) | I/Imax |
| --- | --- | --- | --- |
| 1 0 3 | 2.634 | 34.04 | 62 |
| 1 1 2 | 2.594 | 34.57 | 100 |
| 2 0 0 | 2.145 | 42.12 | 63 |
| 1 1 4 | 1.930 | 47.08 | 17 |
| 1 0 5 | 1.814 | 50.30 | 15 |
| 2 1 3 | 1.663 | 55.22 | 31 |
| 2 2 0 | 1.517 | 61.09 | 21 |
| 1 1 6 | 1.462 | 63.66 | 21 |
| 2 1 5 | 1.385 | 67.64 | 12 |
| 3 1 2 | 1.310 | 72.13 | 23 |